(1)
Theoretical XRD peak list
Compound: ZrHgIr
Radiation: λ = 1.5418 Å (Cu Kα)
Structure: a structure optimized by DFT (GGA-PBE)
Kinematic intensities with the Lorentz-polarization factor, no thermal factor.

Principal peaks in the range 5 to 70 degrees two-theta, sorted by position:
(hkl)  2theta  I/Imax
2 0 -1  19.56  20
3 1 0  32.07  40
3 1 -1  34.16  100
0 0 2  34.24  38
4 0 1  36.30  25
3 1 1  38.66  61
6 0 -1  42.78  32
3 1 -2  43.89  37
1 1 2  44.07  35
0 2 0  48.77  28

Structural model:
```
data_ZrHgIr
_cell_length_a 12.909
_cell_length_b 3.734
_cell_length_c 5.364
_cell_angle_alpha 90.00
_cell_angle_beta 102.44
_cell_angle_gamma 90.00
_symmetry_space_group_name_H-M 'C 1 2/m 1'
_symmetry_Int_Tables_number 12
loop_
_symmetry_equiv_pos_as_xyz
'x,y,z'
'-x,-y,-z'
'-x,y,-z'
'x,-y,z'
'x+1/2,y+1/2,z'
'-x+1/2,-y+1/2,-z'
'-x+1/2,y+1/2,-z'
'x+1/2,-y+1/2,z'
loop_
_atom_site_label
_atom_site_fract_x
_atom_site_fract_y
_atom_site_fract_z
Zr1 0.147 0.000 0.337
Hg1 0.059 0.500 0.780
Ir1 0.236 0.000 0.823
```


(2)
Theoretical XRD peak list
Compound: Zr5Hg4Ir
Radiation: λ = 1.5418 Å (Cu Kα)
Structure: a structure optimized by DFT (GGA-PBE)
Kinematic intensities with the Lorentz-polarization factor, no thermal factor.

Principal peaks in the range 5 to 70 degrees two-theta, sorted by position:
(hkl)  2theta  I/Imax
0 0 5  21.62  11
1 0 0  27.99  12
1 0 5  35.64  100
1 1 0  40.00  38
0 0 10  44.05  12
1 1 5  45.92  7
1 0 10  53.01  5
2 0 0  57.85  13
1 1 10  61.01  18
2 1 5  69.83  28

Structural model:
```
data_Zr5Hg4Ir
_cell_length_a 3.188
_cell_length_b 3.188
_cell_length_c 20.556
_cell_angle_alpha 90.00
_cell_angle_beta 90.00
_cell_angle_gamma 90.00
_symmetry_space_group_name_H-M 'P 4/m m m'
_symmetry_Int_Tables_number 123
_symmetry_space_group_name_Hall '-P 4 2'
loop_
_atom_site_label
_atom_site_fract_x
_atom_site_fract_y
_atom_site_fract_z
Zr1 0.000 0.000 0.000
Zr2 0.000 0.000 0.205
Zr3 0.000 0.000 0.414
Hg1 0.500 0.500 0.103
Hg2 0.500 0.500 0.308
Ir1 0.500 0.500 0.500
```


(3)
Theoretical XRD peak list
Compound: K2Hg3
Radiation: λ = 1.5418 Å (Cu Kα)
Structure: a structure optimized by DFT (GGA-PBE)
Kinematic intensities with the Lorentz-polarization factor, no thermal factor.

Principal peaks in the range 5 to 70 degrees two-theta, sorted by position:
(hkl)  2theta  I/Imax
0 0 2  17.12  88
1 1 2  27.81  38
1 2 1  33.05  100
0 0 4  34.64  22
2 0 0  34.76  27
2 0 2  38.99  24
1 2 3  41.45  46
2 0 4  49.89  16
1 2 5  55.10  34
3 2 1  61.24  17

Structural model:
```
data_K2Hg3
_cell_length_a 5.161
_cell_length_b 6.693
_cell_length_c 10.357
_cell_angle_alpha 90.00
_cell_angle_beta 90.00
_cell_angle_gamma 90.00
_symmetry_space_group_name_H-M 'I m m m'
_symmetry_Int_Tables_number 71
_symmetry_space_group_name_Hall '-I 2 2'
loop_
_atom_site_label
_atom_site_fract_x
_atom_site_fract_y
_atom_site_fract_z
K1 0.000 0.000 0.199
Hg1 0.000 0.265 0.500
Hg2 0.000 0.500 0.000
```


(4)
Theoretical XRD peak list
Compound: KHg11
Radiation: λ = 1.5418 Å (Cu Kα)
Structure: a structure optimized by DFT (GGA-PBE)
Kinematic intensities with the Lorentz-polarization factor, no thermal factor.

Principal peaks in the range 5 to 70 degrees two-theta, sorted by position:
(hkl)  2theta  I/Imax
1 0 0  9.44  18
1 0 1  28.40  14
1 1 1  31.51  19
2 0 1  32.96  45
2 2 0  33.11  100
2 1 1  37.02  31
3 0 1  39.52  11
4 0 1  47.41  16
6 0 0  59.10  34
2 2 2  65.77  28

Structural model:
```
data_KHg11
_cell_length_a 10.8232
_cell_length_b 10.8232
_cell_length_c 3.3357
_cell_angle_alpha 90.00
_cell_angle_beta 90.00
_cell_angle_gamma 120.00
_symmetry_space_group_name_H-M 'P 6/m m m'
_symmetry_Int_Tables_number 191
_symmetry_space_group_name_Hall '-P 6 2'
loop_
_atom_site_label
_atom_site_fract_x
_atom_site_fract_y
_atom_site_fract_z
K1 0.0000 0.0000 0.0000
Hg1 0.0000 0.5000 0.0000
Hg2 0.1752 0.3504 0.5000
Hg3 0.3333 0.6667 0.0000
```


(5)
Theoretical XRD peak list
Compound: KHg4
Radiation: λ = 1.5418 Å (Cu Kα)
Structure: a structure optimized by DFT (GGA-PBE)
Kinematic intensities with the Lorentz-polarization factor, no thermal factor.

Principal peaks in the range 5 to 70 degrees two-theta, sorted by position:
(hkl)  2theta  I/Imax
2 0 0  16.25  58
2 2 2  28.34  65
3 2 1  30.66  35
4 1 1  34.89  100
3 3 2  38.72  33
4 2 2  40.51  22
5 1 0  42.24  18
4 4 0  47.13  21
6 3 1  57.28  20
6 3 3  62.57  19

Structural model:
```
data_KHg4
_cell_length_a 10.909
_cell_length_b 10.909
_cell_length_c 10.909
_cell_angle_alpha 90.00
_cell_angle_beta 90.00
_cell_angle_gamma 90.00
_symmetry_space_group_name_H-M 'I -4 3 m'
_symmetry_Int_Tables_number 217
_symmetry_space_group_name_Hall 'I -4 2 3'
loop_
_atom_site_label
_atom_site_fract_x
_atom_site_fract_y
_atom_site_fract_z
K1 0.212 0.212 0.212
Hg1 0.000 0.000 0.346
Hg2 0.000 0.250 0.500
Hg3 0.107 0.107 0.893
```


(6)
Theoretical XRD peak list
Compound: KHg13
Radiation: λ = 1.5418 Å (Cu Kα)
Structure: a structure optimized by DFT (GGA-PBE)
Kinematic intensities with the Lorentz-polarization factor, no thermal factor.

Principal peaks in the range 5 to 70 degrees two-theta, sorted by position:
(hkl)  2theta  I/Imax
2 0 0  11.67  33
2 2 0  16.54  9
4 2 2  28.85  41
5 3 1  35.01  100
6 0 0  35.53  58
7 5 3  55.19  24
9 3 1  58.03  10
8 4 4  59.76  10
10 0 0  61.12  12
9 5 3  66.08  17

Structural model:
```
data_KHg13
_cell_length_a 15.162
_cell_length_b 15.162
_cell_length_c 15.162
_cell_angle_alpha 90.00
_cell_angle_beta 90.00
_cell_angle_gamma 90.00
_symmetry_space_group_name_H-M 'F m -3 c'
_symmetry_Int_Tables_number 226
_symmetry_space_group_name_Hall '-F 4a 2 3'
loop_
_atom_site_label
_atom_site_fract_x
_atom_site_fract_y
_atom_site_fract_z
K1 0.250 0.250 0.250
Hg1 0.000 0.000 0.000
Hg2 0.000 0.123 0.180
```


(7)
Theoretical XRD peak list
Compound: KHg5
Radiation: λ = 1.5418 Å (Cu Kα)
Structure: a structure optimized by DFT (GGA-PBE)
Kinematic intensities with the Lorentz-polarization factor, no thermal factor.

Principal peaks in the range 5 to 70 degrees two-theta, sorted by position:
(hkl)  2theta  I/Imax
0 0 1  13.18  11
0 0 2  26.54  15
3 1 0  32.60  100
0 2 0  32.67  53
2 0 2  32.74  13
2 2 2  46.93  13
6 0 0  58.23  28
5 1 2  58.38  9
3 1 -4  64.91  9
0 2 4  65.14  11

Structural model:
```
data_KHg5
_cell_length_a 9.512
_cell_length_b 5.486
_cell_length_c 6.718
_cell_angle_alpha 90.00
_cell_angle_beta 90.39
_cell_angle_gamma 90.00
_symmetry_space_group_name_H-M 'C 1 2/m 1'
_symmetry_Int_Tables_number 12
loop_
_symmetry_equiv_pos_as_xyz
'x,y,z'
'-x,-y,-z'
'-x,y,-z'
'x,-y,z'
'x+1/2,y+1/2,z'
'-x+1/2,-y+1/2,-z'
'-x+1/2,y+1/2,-z'
'x+1/2,-y+1/2,z'
loop_
_atom_site_label
_atom_site_fract_x
_atom_site_fract_y
_atom_site_fract_z
K1 0.000 0.000 0.000
Hg1 0.000 0.000 0.500
Hg2 0.166 0.500 0.741
Hg3 0.167 0.500 0.266
```


(8)
Theoretical XRD peak list
Compound: K7Hg31
Radiation: λ = 1.5418 Å (Cu Kα)
Structure: a structure optimized by DFT (GGA-PBE)
Kinematic intensities with the Lorentz-polarization factor, no thermal factor.

Principal peaks in the range 5 to 70 degrees two-theta, sorted by position:
(hkl)  2theta  I/Imax
1 1 1  17.91  38
2 1 2  29.64  30
2 0 3  31.40  100
2 2 0  31.92  79
3 0 2  32.44  25
1 0 4  35.28  22
2 2 2  36.28  72
3 0 3  37.74  31
4 0 1  38.02  39
4 2 3  56.55  39

Structural model:
```
data_K7Hg31
_cell_length_a 11.2164
_cell_length_b 11.2164
_cell_length_c 10.5524
_cell_angle_alpha 90.00
_cell_angle_beta 90.00
_cell_angle_gamma 120.00
_symmetry_space_group_name_H-M 'P -6 m 2'
_symmetry_Int_Tables_number 187
_symmetry_space_group_name_Hall 'P -6 2'
loop_
_atom_site_label
_atom_site_fract_x
_atom_site_fract_y
_atom_site_fract_z
K1 0.0000 0.0000 0.0000
K2 0.1652 0.3305 0.5000
K3 0.3333 0.6667 0.0000
K4 0.6667 0.3333 0.2034
Hg1 0.0000 0.0000 0.3591
Hg2 0.0160 0.5080 0.3134
Hg3 0.1748 0.3496 0.1709
Hg4 0.2936 0.1468 0.2618
Hg5 0.3333 0.6667 0.3539
Hg6 0.3955 0.0596 0.0000
Hg7 0.4711 0.2355 0.5000
```


(9)
Theoretical XRD peak list
Compound: K7Hg
Radiation: λ = 1.5418 Å (Cu Kα)
Structure: a structure optimized by DFT (GGA-PBE)
Kinematic intensities with the Lorentz-polarization factor, no thermal factor.

Principal peaks in the range 5 to 70 degrees two-theta, sorted by position:
(hkl)  2theta  I/Imax
0 0 3  7.75  53
1 0 1  14.66  43
0 1 2  15.33  34
1 0 4  17.78  25
1 1 0  25.12  100
0 1 8  25.37  68
1 1 3  26.33  23
1 1 9  34.59  30
2 0 8  36.01  26
1 2 8  44.41  28

Structural model:
```
data_K7Hg
_cell_length_a 7.0893
_cell_length_b 7.0893
_cell_length_c 34.2349
_cell_angle_alpha 90.00
_cell_angle_beta 90.00
_cell_angle_gamma 120.00
_symmetry_space_group_name_H-M 'R -3 m'
_symmetry_Int_Tables_number 166
_symmetry_space_group_name_Hall '-R 3 2"'
loop_
_atom_site_label
_atom_site_fract_x
_atom_site_fract_y
_atom_site_fract_z
K1 0.0000 0.0000 0.0000
K2 0.0000 0.0000 0.1385
K3 0.0000 0.0000 0.2639
K4 0.0000 0.0000 0.3964
Hg1 0.0000 0.0000 0.5000
```


(10)
Theoretical XRD peak list
Compound: KHg6
Radiation: λ = 1.5418 Å (Cu Kα)
Structure: a structure optimized by DFT (GGA-PBE)
Kinematic intensities with the Lorentz-polarization factor, no thermal factor.

Principal peaks in the range 5 to 70 degrees two-theta, sorted by position:
(hkl)  2theta  I/Imax
0 0 1  9.45  49
1 1 1  20.86  44
2 0 1  28.06  68
2 1 1  31.08  86
1 1 3  34.32  59
2 1 2  35.34  100
2 0 3  39.29  57
3 1 0  42.26  51
3 1 4  58.47  27
3 3 3  65.79  32

Structural model:
```
data_KHg6
_cell_length_a 6.762
_cell_length_b 6.762
_cell_length_c 9.359
_cell_angle_alpha 90.00
_cell_angle_beta 90.00
_cell_angle_gamma 90.00
_symmetry_space_group_name_H-M 'P 4/n b m'
_symmetry_Int_Tables_number 125
loop_
_symmetry_equiv_pos_as_xyz
'x,y,z'
'-x,-y,-z'
'-y+1/2,x,z'
'y+1/2,-x,-z'
'-x+1/2,-y+1/2,z'
'x+1/2,y+1/2,-z'
'y,-x+1/2,z'
'-y,x+1/2,-z'
'x,-y+1/2,-z'
'-x,y+1/2,z'
'-y+1/2,-x+1/2,-z'
'y+1/2,x+1/2,z'
'-x+1/2,y,-z'
'x+1/2,-y,z'
'y,x,-z'
'-y,-x,z'
loop_
_atom_site_label
_atom_site_fract_x
_atom_site_fract_y
_atom_site_fract_z
K1 0.250 0.750 0.000
Hg1 0.082 0.582 0.360
Hg2 0.250 0.250 0.164
```


(11)
Theoretical XRD peak list
Compound: K5Hg4
Radiation: λ = 1.5418 Å (Cu Kα)
Structure: a structure optimized by DFT (GGA-PBE)
Kinematic intensities with the Lorentz-polarization factor, no thermal factor.

Principal peaks in the range 5 to 70 degrees two-theta, sorted by position:
(hkl)  2theta  I/Imax
2 0 0  14.96  41
1 1 0  18.67  100
2 0 1  19.27  28
1 1 2  26.09  34
1 1 -3  27.69  32
3 1 -3  31.04  45
3 1 1  31.68  50
4 0 1  33.99  35
0 2 0  34.55  48
7 1 -2  53.39  29

Structural model:
```
data_K5Hg4
_cell_length_a 12.763
_cell_length_b 5.190
_cell_length_c 12.343
_cell_angle_alpha 90.00
_cell_angle_beta 111.87
_cell_angle_gamma 90.00
_symmetry_space_group_name_H-M 'C 1 2/m 1'
_symmetry_Int_Tables_number 12
loop_
_symmetry_equiv_pos_as_xyz
'x,y,z'
'-x,-y,-z'
'-x,y,-z'
'x,-y,z'
'x+1/2,y+1/2,z'
'-x+1/2,-y+1/2,-z'
'-x+1/2,y+1/2,-z'
'x+1/2,-y+1/2,z'
loop_
_atom_site_label
_atom_site_fract_x
_atom_site_fract_y
_atom_site_fract_z
K1 0.000 0.000 0.000
K2 0.111 0.000 0.398
K3 0.246 0.000 0.826
Hg1 0.043 0.500 0.828
Hg2 0.104 0.500 0.614
```


(12)
Theoretical XRD peak list
Compound: KHg5
Radiation: λ = 1.5418 Å (Cu Kα)
Structure: a structure optimized by DFT (GGA-PBE)
Kinematic intensities with the Lorentz-polarization factor, no thermal factor.

Principal peaks in the range 5 to 70 degrees two-theta, sorted by position:
(hkl)  2theta  I/Imax
1 0 0  16.40  78
0 0 2  31.99  46
1 1 1  32.86  97
2 0 0  33.15  22
1 0 2  36.15  24
2 0 1  36.94  100
3 0 1  53.43  25
2 2 0  59.22  24
2 0 3  60.29  25
2 2 2  68.91  31

Structural model:
```
data_KHg5
_cell_length_a 6.2412
_cell_length_b 6.2412
_cell_length_c 5.5954
_cell_angle_alpha 90.00
_cell_angle_beta 90.00
_cell_angle_gamma 120.00
_symmetry_space_group_name_H-M 'P 6/m m m'
_symmetry_Int_Tables_number 191
_symmetry_space_group_name_Hall '-P 6 2'
loop_
_atom_site_label
_atom_site_fract_x
_atom_site_fract_y
_atom_site_fract_z
K1 0.0000 0.0000 0.0000
Hg1 0.0000 0.5000 0.5000
Hg2 0.3333 0.6667 0.0000
```


Question: Which formula does entry 1 have?
Answer: ZrHgIr


Please write out number 7 again, unchanged.
Theoretical XRD peak list
Compound: KHg5
Radiation: λ = 1.5418 Å (Cu Kα)
Structure: a structure optimized by DFT (GGA-PBE)
Kinematic intensities with the Lorentz-polarization factor, no thermal factor.

Principal peaks in the range 5 to 70 degrees two-theta, sorted by position:
(hkl)  2theta  I/Imax
0 0 1  13.18  11
0 0 2  26.54  15
3 1 0  32.60  100
0 2 0  32.67  53
2 0 2  32.74  13
2 2 2  46.93  13
6 0 0  58.23  28
5 1 2  58.38  9
3 1 -4  64.91  9
0 2 4  65.14  11

Structural model:
```
data_KHg5
_cell_length_a 9.512
_cell_length_b 5.486
_cell_length_c 6.718
_cell_angle_alpha 90.00
_cell_angle_beta 90.39
_cell_angle_gamma 90.00
_symmetry_space_group_name_H-M 'C 1 2/m 1'
_symmetry_Int_Tables_number 12
loop_
_symmetry_equiv_pos_as_xyz
'x,y,z'
'-x,-y,-z'
'-x,y,-z'
'x,-y,z'
'x+1/2,y+1/2,z'
'-x+1/2,-y+1/2,-z'
'-x+1/2,y+1/2,-z'
'x+1/2,-y+1/2,z'
loop_
_atom_site_label
_atom_site_fract_x
_atom_site_fract_y
_atom_site_fract_z
K1 0.000 0.000 0.000
Hg1 0.000 0.000 0.500
Hg2 0.166 0.500 0.741
Hg3 0.167 0.500 0.266
```